Entry 1:
The following is a calculated powder X-ray diffraction pattern of AgAu6. It was derived from a DFT-relaxed cell (PBE, Alexandria), using Cu Kα X-rays.

Structure:
```
data_AgAu6
_symmetry_space_group_name_H-M 'P 1'
_symmetry_Int_Tables_number 1
_symmetry_space_group_name_Hall 'P 1'
_cell_length_a 7.189
_cell_length_b 7.189
_cell_length_c 7.189
_cell_angle_alpha 118.25
_cell_angle_beta 118.25
_cell_angle_gamma 118.25
loop_
_atom_site_label
_atom_site_fract_x
_atom_site_fract_y
_atom_site_fract_z
Ag1 0.000 0.000 0.000
Au1 0.158 0.586 0.298
Au2 0.298 0.158 0.586
Au3 0.414 0.702 0.842
Au4 0.586 0.298 0.158
Au5 0.702 0.842 0.414
Au6 0.842 0.414 0.702
```

Most intense lines, 10 to 90 degrees two-theta, by intensity:
2theta  I_rel
38.4  100
38.6  100
69.7  35
55.6  35
69.3  18
69.9  18
82.8  11
82.2  11

---

Entry 2:
The following is a calculated powder X-ray diffraction pattern of Ba2YPaSe6. It was derived from a DFT-relaxed cell (PBE, Alexandria), using Cu Kα X-rays.

Structure:
```
data_Ba2YPaSe6
_symmetry_space_group_name_H-M 'P 1'
_symmetry_Int_Tables_number 1
_symmetry_space_group_name_Hall 'P 1'
_cell_length_a 7.476
_cell_length_b 7.887
_cell_length_c 13.150
_cell_angle_alpha 90.00
_cell_angle_beta 124.52
_cell_angle_gamma 90.00
loop_
_atom_site_label
_atom_site_fract_x
_atom_site_fract_y
_atom_site_fract_z
Ba1 0.227 0.074 0.249
Ba2 0.227 0.426 0.749
Ba3 0.773 0.574 0.251
Ba4 0.773 0.926 0.751
Y1 0.000 0.000 0.500
Y2 0.000 0.500 0.000
Pa1 0.500 0.000 0.000
Pa2 0.500 0.500 0.500
Se1 0.153 0.196 0.953
Se2 0.153 0.304 0.453
Se3 0.260 0.704 0.952
Se4 0.260 0.796 0.452
Se5 0.344 0.019 0.753
Se6 0.344 0.481 0.253
Se7 0.656 0.519 0.747
Se8 0.656 0.981 0.247
Se9 0.740 0.204 0.548
Se10 0.740 0.296 0.048
Se11 0.847 0.696 0.547
Se12 0.847 0.804 0.047
```

Most intense lines, 10 to 90 degrees two-theta, by intensity:
2theta  I_rel
33.0  100
23.2  81
41.5  46
47.4  29
16.3  28
27.6  24
37.2  20
36.2  20

---

Entry 3:
The following is a calculated powder X-ray diffraction pattern of Pr5Ho3. It was derived from a DFT-relaxed cell (PBE, Alexandria), using Cu Kα X-rays.

Structure:
```
data_Pr5Ho3
_symmetry_space_group_name_H-M 'P 1'
_symmetry_Int_Tables_number 1
_symmetry_space_group_name_Hall 'P 1'
_cell_length_a 7.368
_cell_length_b 8.672
_cell_length_c 8.672
_cell_angle_alpha 85.36
_cell_angle_beta 90.00
_cell_angle_gamma 90.00
loop_
_atom_site_label
_atom_site_fract_x
_atom_site_fract_y
_atom_site_fract_z
Pr1 0.000 0.000 0.000
Pr2 0.000 0.087 0.576
Pr3 0.000 0.576 0.087
Pr4 0.252 0.330 0.832
Pr5 0.252 0.832 0.330
Pr6 0.253 0.749 0.749
Pr7 0.500 0.494 0.494
Pr8 0.747 0.749 0.749
Pr9 0.748 0.330 0.832
Pr10 0.748 0.832 0.330
Ho1 0.000 0.497 0.497
Ho2 0.252 0.248 0.248
Ho3 0.500 0.000 0.000
Ho4 0.500 0.084 0.580
Ho5 0.500 0.580 0.084
Ho6 0.748 0.248 0.248
```

Most intense lines, 10 to 90 degrees two-theta, by intensity:
2theta  I_rel
31.9  100
30.4  25
28.0  24
59.2  23
55.0  21
49.5  20
60.1  16
41.8  16

---

Entry 4:
The following is a calculated powder X-ray diffraction pattern of KGaFeC6N6. It was derived from a DFT-relaxed cell (PBE, Alexandria), using Cu Kα X-rays.

Structure:
```
data_KGaFeC6N6
_symmetry_space_group_name_H-M 'P 1'
_symmetry_Int_Tables_number 1
_symmetry_space_group_name_Hall 'P 1'
_cell_length_a 7.186
_cell_length_b 7.186
_cell_length_c 7.186
_cell_angle_alpha 60.00
_cell_angle_beta 60.00
_cell_angle_gamma 60.00
loop_
_atom_site_label
_atom_site_fract_x
_atom_site_fract_y
_atom_site_fract_z
K1 0.000 0.000 0.000
Ga1 0.750 0.750 0.750
Fe1 0.250 0.250 0.250
C1 0.066 0.066 0.434
C2 0.066 0.434 0.066
C3 0.066 0.434 0.434
C4 0.434 0.066 0.066
C5 0.434 0.066 0.434
C6 0.434 0.434 0.066
N1 0.550 0.550 0.950
N2 0.550 0.950 0.550
N3 0.550 0.950 0.950
N4 0.950 0.550 0.550
N5 0.950 0.550 0.950
N6 0.950 0.950 0.550
```

Most intense lines, 10 to 90 degrees two-theta, by intensity:
2theta  I_rel
17.5  100
24.8  71
35.3  49
57.3  24
39.7  23
50.8  22
69.2  18
43.6  17

---

Entry 5:
The following is a calculated powder X-ray diffraction pattern of Ac5ZnSn2. It was derived from a DFT-relaxed cell (PBE, Alexandria), using Cu Kα X-rays.

Structure:
```
data_Ac5ZnSn2
_symmetry_space_group_name_H-M 'P 1'
_symmetry_Int_Tables_number 1
_symmetry_space_group_name_Hall 'P 1'
_cell_length_a 7.661
_cell_length_b 7.661
_cell_length_c 9.595
_cell_angle_alpha 90.00
_cell_angle_beta 90.00
_cell_angle_gamma 90.00
loop_
_atom_site_label
_atom_site_fract_x
_atom_site_fract_y
_atom_site_fract_z
Ac1 0.000 0.000 0.000
Ac2 0.250 0.250 0.250
Ac3 0.250 0.250 0.750
Ac4 0.250 0.750 0.250
Ac5 0.250 0.750 0.750
Ac6 0.500 0.500 0.500
Ac7 0.750 0.250 0.250
Ac8 0.750 0.250 0.750
Ac9 0.750 0.750 0.250
Ac10 0.750 0.750 0.750
Zn1 0.000 0.000 0.501
Zn2 0.500 0.500 0.001
Sn1 0.000 0.500 0.000
Sn2 0.000 0.500 0.500
Sn3 0.500 0.000 0.000
Sn4 0.500 0.000 0.500
```

Most intense lines, 10 to 90 degrees two-theta, by intensity:
2theta  I_rel
29.8  100
33.1  38
57.1  33
50.8  23
47.5  14
37.5  14
62.0  13
63.0  12

---

Entry 6:
The following is a calculated powder X-ray diffraction pattern of Sr2ZnIn5. It was derived from a DFT-relaxed cell (PBE, Alexandria), using Cu Kα X-rays.

Structure:
```
data_Sr2ZnIn5
_symmetry_space_group_name_H-M 'P 1'
_symmetry_Int_Tables_number 1
_symmetry_space_group_name_Hall 'P 1'
_cell_length_a 6.767
_cell_length_b 6.767
_cell_length_c 9.937
_cell_angle_alpha 90.00
_cell_angle_beta 90.00
_cell_angle_gamma 90.00
loop_
_atom_site_label
_atom_site_fract_x
_atom_site_fract_y
_atom_site_fract_z
Sr1 0.000 0.500 0.000
Sr2 0.000 0.500 0.500
Sr3 0.500 0.000 0.000
Sr4 0.500 0.000 0.500
Zn1 0.000 0.000 0.100
Zn2 0.500 0.500 0.600
In1 0.000 0.000 0.471
In2 0.234 0.234 0.750
In3 0.234 0.766 0.750
In4 0.266 0.266 0.250
In5 0.266 0.734 0.250
In6 0.500 0.500 0.971
In7 0.734 0.266 0.250
In8 0.734 0.734 0.250
In9 0.766 0.234 0.750
In10 0.766 0.766 0.750
```

Most intense lines, 10 to 90 degrees two-theta, by intensity:
2theta  I_rel
32.0  100
37.6  36
64.4  23
53.1  17
36.2  14
54.2  12
62.4  10
30.0  9

---

Entry 7:
The following is a calculated powder X-ray diffraction pattern of Ge3AsAu. It was derived from a DFT-relaxed cell (PBE, Alexandria), using Cu Kα X-rays.

Structure:
```
data_Ge3AsAu
_symmetry_space_group_name_H-M 'P 1'
_symmetry_Int_Tables_number 1
_symmetry_space_group_name_Hall 'P 1'
_cell_length_a 4.988
_cell_length_b 4.988
_cell_length_c 4.988
_cell_angle_alpha 90.00
_cell_angle_beta 90.00
_cell_angle_gamma 90.00
loop_
_atom_site_label
_atom_site_fract_x
_atom_site_fract_y
_atom_site_fract_z
Ge1 0.000 0.000 0.500
Ge2 0.000 0.500 0.000
Ge3 0.500 0.000 0.000
As1 0.000 0.000 0.000
Au1 0.500 0.500 0.500
```

Most intense lines, 10 to 90 degrees two-theta, by intensity:
2theta  I_rel
36.0  100
31.1  94
25.2  78
51.8  70
61.7  40
44.5  36
87.4  32
64.7  24

---

Entry 8:
The following is a calculated powder X-ray diffraction pattern of Tb2Tm4Zr. It was derived from a DFT-relaxed cell (PBE, Alexandria), using Cu Kα X-rays.

Structure:
```
data_Tb2Tm4Zr
_symmetry_space_group_name_H-M 'P 1'
_symmetry_Int_Tables_number 1
_symmetry_space_group_name_Hall 'P 1'
_cell_length_a 6.077
_cell_length_b 3.509
_cell_length_c 19.492
_cell_angle_alpha 90.00
_cell_angle_beta 95.96
_cell_angle_gamma 90.00
loop_
_atom_site_label
_atom_site_fract_x
_atom_site_fract_y
_atom_site_fract_z
Tb1 0.000 0.000 0.000
Tb2 0.097 0.000 0.293
Tb3 0.500 0.500 0.000
Tb4 0.597 0.500 0.293
Tm1 0.284 0.000 0.854
Tm2 0.314 0.500 0.443
Tm3 0.383 0.000 0.147
Tm4 0.401 0.500 0.708
Tm5 0.784 0.500 0.854
Tm6 0.814 0.000 0.443
Tm7 0.883 0.500 0.147
Tm8 0.901 0.000 0.708
Zr1 0.191 0.000 0.575
Zr2 0.691 0.500 0.575
```

Most intense lines, 10 to 90 degrees two-theta, by intensity:
2theta  I_rel
34.0  100
33.3  99
32.3  51
62.7  46
52.1  44
29.4  32
59.2  19
29.6  18

---

Entry 9:
The following is a calculated powder X-ray diffraction pattern of Pm6Pr2Tm. It was derived from a DFT-relaxed cell (PBE, Alexandria), using Cu Kα X-rays.

Structure:
```
data_Pm6Pr2Tm
_symmetry_space_group_name_H-M 'P 1'
_symmetry_Int_Tables_number 1
_symmetry_space_group_name_Hall 'P 1'
_cell_length_a 9.976
_cell_length_b 9.976
_cell_length_c 3.561
_cell_angle_alpha 90.00
_cell_angle_beta 90.00
_cell_angle_gamma 120.19
loop_
_atom_site_label
_atom_site_fract_x
_atom_site_fract_y
_atom_site_fract_z
Pm1 0.001 0.330 0.000
Pm2 0.330 0.001 0.000
Pm3 0.330 0.330 0.000
Pm4 0.670 0.670 0.000
Pm5 0.670 0.999 0.000
Pm6 0.999 0.670 0.000
Pr1 0.333 0.667 0.500
Pr2 0.667 0.333 0.500
Tm1 0.000 0.000 0.500
```

Most intense lines, 10 to 90 degrees two-theta, by intensity:
2theta  I_rel
31.1  100
30.9  91
44.4  34
61.2  29
55.2  25
55.1  23
40.3  10
78.7  9